Record 1
Computed powder diffraction line list of HoB4Mo for copper Kα, from a crystal structure in Alexandria, relaxed with GGA-PBE.
Lines closer than 0.1° are merged.

The 10 most intense peaks (10 to 90 degrees two-theta), most intense first:
2.269 Å, 2θ 39.73, I = 100
2.914 Å, 2θ 30.68, I = 82
3.616 Å, 2θ 24.62, I = 81
1.987 Å, 2θ 45.65, I = 30
2.422 Å, 2θ 37.13, I = 29
2.121 Å, 2θ 42.62, I = 28
3.261 Å, 2θ 27.35, I = 25
1.536 Å, 2θ 60.24, I = 24
2.379 Å, 2θ 37.81, I = 21
2.619 Å, 2θ 34.23, I = 21

Atomic structure:
Lattice parameters (Å, degrees): 6.025 11.635 3.616 90.00 90.00 90.00
Sites, in units of the cell vectors:
Ho 0.127 0.150 0.000
Ho 0.373 0.650 0.000
Ho 0.627 0.350 0.000
Ho 0.873 0.850 0.000
B 0.024 0.694 0.500
B 0.114 0.548 0.500
B 0.133 0.968 0.500
B 0.213 0.814 0.500
B 0.287 0.314 0.500
B 0.367 0.468 0.500
B 0.386 0.048 0.500
B 0.476 0.194 0.500
B 0.524 0.806 0.500
B 0.614 0.952 0.500
B 0.633 0.532 0.500
B 0.713 0.686 0.500
B 0.787 0.186 0.500
B 0.867 0.032 0.500
B 0.886 0.452 0.500
B 0.976 0.306 0.500
Mo 0.130 0.416 0.000
Mo 0.370 0.916 0.000
Mo 0.630 0.084 0.000
Mo 0.870 0.584 0.000

=====

Record 2
Computed powder diffraction line list of Dy4Y3Se8 for copper Kα, from a crystal structure in Alexandria, relaxed with GGA-PBE.
Lines closer than 0.1° are merged.

The 10 most intense peaks (10 to 90 degrees two-theta), most intense first:
2.875 Å, 2θ 31.11, I = 100
2.033 Å, 2θ 44.57, I = 73
1.286 Å, 2θ 73.67, I = 33
1.660 Å, 2θ 55.34, I = 26
1.174 Å, 2θ 82.11, I = 25
1.438 Å, 2θ 64.86, I = 12
6.640 Å, 2θ 13.33, I = 11
3.468 Å, 2θ 25.69, I = 8
3.320 Å, 2θ 26.85, I = 6
2.639 Å, 2θ 33.98, I = 5

Atomic structure:
Lattice parameters (Å, degrees): 8.132 8.132 8.132 120.00 120.00 90.00
Sites, in units of the cell vectors:
Dy 0.000 0.000 0.000
Dy 0.000 0.000 0.500
Dy 0.000 0.500 0.000
Dy 0.500 0.000 0.000
Y 0.000 0.500 0.500
Y 0.500 0.000 0.500
Y 0.500 0.500 0.500
Se 0.250 0.750 0.500
Se 0.253 0.253 0.506
Se 0.253 0.253 0.999
Se 0.253 0.747 0.000
Se 0.747 0.253 0.000
Se 0.747 0.747 0.001
Se 0.747 0.747 0.494
Se 0.750 0.250 0.500

=====

Record 3
Computed powder diffraction line list of Sm5Tm3P8 for copper Kα, from a crystal structure in Alexandria, relaxed with GGA-PBE.
Lines closer than 0.1° are merged.

The 10 most intense peaks (10 to 90 degrees two-theta), most intense first:
2.863 Å, 2θ 31.25, I = 100
3.305 Å, 2θ 26.97, I = 86
2.024 Å, 2θ 44.77, I = 73
1.726 Å, 2θ 53.05, I = 42
1.280 Å, 2θ 74.05, I = 33
1.653 Å, 2θ 55.61, I = 26
1.169 Å, 2θ 82.55, I = 25
1.313 Å, 2θ 71.88, I = 17
1.102 Å, 2θ 88.80, I = 14
1.431 Å, 2θ 65.18, I = 12

Atomic structure:
Lattice parameters (Å, degrees): 8.096 8.096 8.096 60.02 60.02 60.02
Sites, in units of the cell vectors:
Sm 0.000 0.000 0.000
Sm 0.000 0.500 0.500
Sm 0.500 0.000 0.500
Sm 0.500 0.500 0.000
Sm 0.500 0.500 0.500
Tm 0.000 0.000 0.500
Tm 0.000 0.500 0.000
Tm 0.500 0.000 0.000
P 0.243 0.750 0.750
P 0.247 0.247 0.247
P 0.250 0.250 0.757
P 0.250 0.757 0.250
P 0.750 0.243 0.750
P 0.750 0.750 0.243
P 0.753 0.753 0.753
P 0.757 0.250 0.250

=====

Record 4
Computed powder diffraction line list of Ce3Pu2Sn3 for copper Kα, from a crystal structure in Alexandria, relaxed with GGA-PBE.
Lines closer than 0.1° are merged.

The 10 most intense peaks (10 to 90 degrees two-theta), most intense first:
2.634 Å, 2θ 34.03, I = 100
2.715 Å, 2θ 32.99, I = 90
8.144 Å, 2θ 10.86, I = 40
2.771 Å, 2θ 32.31, I = 33
1.891 Å, 2θ 48.13, I = 32
1.551 Å, 2θ 59.59, I = 25
1.372 Å, 2θ 68.37, I = 23
3.078 Å, 2θ 29.01, I = 21
2.963 Å, 2θ 30.17, I = 14
4.072 Å, 2θ 21.83, I = 12

Atomic structure:
Lattice parameters (Å, degrees): 9.404 9.404 6.361 90.00 90.00 120.00
Sites, in units of the cell vectors:
Ce 0.000 0.282 0.250
Ce 0.000 0.718 0.750
Ce 0.282 0.000 0.250
Ce 0.282 0.282 0.750
Ce 0.718 0.000 0.750
Ce 0.718 0.718 0.250
Pu 0.333 0.667 0.000
Pu 0.333 0.667 0.500
Pu 0.667 0.333 0.000
Pu 0.667 0.333 0.500
Sn 0.000 0.373 0.750
Sn 0.000 0.627 0.250
Sn 0.373 0.000 0.750
Sn 0.373 0.373 0.250
Sn 0.627 0.000 0.250
Sn 0.627 0.627 0.750

=====

Record 5
Computed powder diffraction line list of Sc4Si6Ir7 for copper Kα, from a crystal structure in Alexandria, relaxed with GGA-PBE.
Lines closer than 0.1° are merged.

The 10 most intense peaks (10 to 90 degrees two-theta), most intense first:
3.292 Å, 2θ 27.09, I = 100
2.327 Å, 2θ 38.69, I = 88
2.155 Å, 2θ 41.93, I = 86
2.016 Å, 2θ 44.97, I = 72
1.425 Å, 2θ 65.49, I = 44
4.031 Å, 2θ 22.05, I = 38
1.215 Å, 2θ 78.73, I = 29
1.719 Å, 2θ 53.29, I = 28
1.308 Å, 2θ 72.23, I = 25
5.701 Å, 2θ 15.54, I = 25

Atomic structure:
Lattice parameters (Å, degrees): 6.982 6.982 6.982 109.47 109.47 109.47
Sites, in units of the cell vectors:
Sc 0.000 0.000 0.500
Sc 0.000 0.500 0.000
Sc 0.500 0.000 0.000
Sc 0.500 0.500 0.500
Si 0.000 0.317 0.317
Si 0.000 0.683 0.683
Si 0.317 0.000 0.317
Si 0.317 0.317 0.000
Si 0.683 0.000 0.683
Si 0.683 0.683 0.000
Ir 0.000 0.000 0.000
Ir 0.250 0.500 0.750
Ir 0.250 0.750 0.500
Ir 0.500 0.250 0.750
Ir 0.500 0.750 0.250
Ir 0.750 0.250 0.500
Ir 0.750 0.500 0.250

=====

Record 6
Computed powder diffraction line list of Cu2Sn3Cl8 for copper Kα, from a crystal structure in Alexandria, relaxed with GGA-PBE.
Lines closer than 0.1° are merged.

The 10 most intense peaks (10 to 90 degrees two-theta), most intense first:
6.468 Å, 2θ 13.69, I = 100
3.525 Å, 2θ 25.26, I = 98
2.889 Å, 2θ 30.95, I = 64
2.070 Å, 2θ 43.74, I = 57
2.871 Å, 2θ 31.16, I = 33
1.974 Å, 2θ 45.98, I = 19
2.006 Å, 2θ 45.20, I = 15
1.785 Å, 2θ 51.18, I = 14
2.964 Å, 2θ 30.15, I = 14
1.680 Å, 2θ 54.62, I = 12

Atomic structure:
Lattice parameters (Å, degrees): 8.031 8.031 7.161 106.94 106.94 62.15
Sites, in units of the cell vectors:
Cu 0.107 0.107 0.075
Cu 0.893 0.893 0.925
Sn 0.239 0.761 0.500
Sn 0.500 0.500 0.000
Sn 0.761 0.239 0.500
Cl 0.118 0.643 0.763
Cl 0.124 0.124 0.771
Cl 0.357 0.882 0.237
Cl 0.382 0.382 0.264
Cl 0.618 0.618 0.736
Cl 0.643 0.118 0.763
Cl 0.876 0.876 0.229
Cl 0.882 0.357 0.237

=====

Record 7
Computed powder diffraction line list of TbPmHoSc for copper Kα, from a crystal structure in Alexandria, relaxed with GGA-PBE.
Lines closer than 0.1° are merged.

The 10 most intense peaks (10 to 90 degrees two-theta), most intense first:
2.754 Å, 2θ 32.52, I = 100
2.817 Å, 2θ 31.77, I = 28
1.614 Å, 2θ 57.07, I = 27
2.884 Å, 2θ 31.01, I = 25
2.015 Å, 2θ 44.98, I = 18
1.639 Å, 2θ 56.12, I = 15
3.176 Å, 2θ 28.09, I = 14
1.377 Å, 2θ 68.10, I = 10
1.266 Å, 2θ 75.05, I = 10
1.567 Å, 2θ 58.95, I = 9

Atomic structure:
Lattice parameters (Å, degrees): 6.690 6.690 3.771 106.35 106.35 49.81
Sites, in units of the cell vectors:
Tb 0.000 0.000 0.000
Pm 0.271 0.271 0.775
Ho 0.539 0.539 0.540
Sc 0.769 0.769 0.270

=====

Record 8
Computed powder diffraction line list of Pr3YEr2Se6 for copper Kα, from a crystal structure in Alexandria, relaxed with GGA-PBE.
Lines closer than 0.1° are merged.

The 10 most intense peaks (10 to 90 degrees two-theta), most intense first:
2.941 Å, 2θ 30.39, I = 100
2.939 Å, 2θ 30.41, I = 50
2.109 Å, 2θ 42.87, I = 38
2.050 Å, 2θ 44.18, I = 36
1.685 Å, 2θ 54.45, I = 19
2.104 Å, 2θ 42.99, I = 19
2.057 Å, 2θ 44.03, I = 18
1.330 Å, 2θ 70.84, I = 17
1.300 Å, 2θ 72.73, I = 16
1.471 Å, 2θ 63.23, I = 12

Atomic structure:
Lattice parameters (Å, degrees): 7.117 7.117 7.373 99.25 99.25 120.21
Sites, in units of the cell vectors:
Pr 0.000 0.000 0.000
Pr 0.335 0.665 0.000
Pr 0.665 0.335 0.000
Y 0.500 0.500 0.500
Er 0.166 0.834 0.500
Er 0.834 0.166 0.500
Se 0.087 0.423 0.269
Se 0.240 0.240 0.729
Se 0.423 0.087 0.269
Se 0.577 0.913 0.731
Se 0.760 0.760 0.271
Se 0.913 0.577 0.731

=====

Record 9
Computed powder diffraction line list of TlSbP for copper Kα, from a crystal structure in Alexandria, relaxed with GGA-PBE.
Lines closer than 0.1° are merged.

The 10 most intense peaks (10 to 90 degrees two-theta), most intense first:
2.924 Å, 2θ 30.57, I = 100
2.359 Å, 2θ 38.15, I = 31
3.458 Å, 2θ 25.77, I = 25
1.863 Å, 2θ 48.88, I = 21
1.876 Å, 2θ 48.53, I = 21
1.640 Å, 2θ 56.07, I = 18
3.227 Å, 2θ 27.64, I = 17
1.571 Å, 2θ 58.76, I = 16
1.201 Å, 2θ 79.85, I = 13
1.524 Å, 2θ 60.78, I = 11

Atomic structure:
Lattice parameters (Å, degrees): 3.726 3.726 6.915 90.00 90.00 120.00
Sites, in units of the cell vectors:
Tl 0.000 0.000 0.000
Sb 0.333 0.667 0.566
P 0.667 0.333 0.348

=====

Record 10
Computed powder diffraction line list of PrY2Ho7 for copper Kα, from a crystal structure in Alexandria, relaxed with GGA-PBE.
Lines closer than 0.1° are merged.

The 10 most intense peaks (10 to 90 degrees two-theta), most intense first:
2.901 Å, 2θ 30.83, I = 100
2.512 Å, 2θ 35.74, I = 51
1.776 Å, 2θ 51.44, I = 36
1.514 Å, 2θ 61.21, I = 28
1.516 Å, 2θ 61.13, I = 14
1.152 Å, 2θ 83.97, I = 13
1.450 Å, 2θ 64.22, I = 12
1.123 Å, 2θ 86.71, I = 10
1.124 Å, 2θ 86.60, I = 7
1.153 Å, 2θ 83.90, I = 4

Atomic structure:
Lattice parameters (Å, degrees): 6.152 7.106 7.940 77.07 75.11 73.29
Sites, in units of the cell vectors:
Pr 0.000 0.000 0.000
Y 0.202 0.798 0.599
Y 0.798 0.202 0.401
Ho 0.000 0.500 0.000
Ho 0.199 0.301 0.600
Ho 0.400 0.100 0.200
Ho 0.400 0.599 0.200
Ho 0.600 0.401 0.800
Ho 0.600 0.900 0.800
Ho 0.801 0.699 0.400

=====

Record 11
Computed powder diffraction line list of Mg5Cd4 for copper Kα, from a crystal structure in Alexandria, relaxed with GGA-PBE.
Lines closer than 0.1° are merged.

The 10 most intense peaks (10 to 90 degrees two-theta), most intense first:
2.499 Å, 2θ 35.93, I = 100
3.535 Å, 2θ 25.20, I = 43
1.443 Å, 2θ 64.60, I = 20
1.767 Å, 2θ 51.72, I = 14
1.306 Å, 2θ 72.37, I = 13
3.748 Å, 2θ 23.74, I = 11
2.835 Å, 2θ 31.56, I = 10
7.495 Å, 2θ 11.81, I = 10
1.720 Å, 2θ 53.26, I = 9
2.040 Å, 2θ 44.40, I = 8

Atomic structure:
Lattice parameters (Å, degrees): 8.655 8.655 6.127 90.00 90.00 120.00
Sites, in units of the cell vectors:
Mg 0.000 0.308 0.250
Mg 0.000 0.692 0.750
Mg 0.308 0.000 0.250
Mg 0.308 0.308 0.750
Mg 0.333 0.667 0.000
Mg 0.333 0.667 0.500
Mg 0.667 0.333 0.000
Mg 0.667 0.333 0.500
Mg 0.692 0.000 0.750
Mg 0.692 0.692 0.250
Cd 0.000 0.000 0.000
Cd 0.000 0.000 0.500
Cd 0.000 0.361 0.750
Cd 0.000 0.639 0.250
Cd 0.361 0.000 0.750
Cd 0.361 0.361 0.250
Cd 0.639 0.000 0.250
Cd 0.639 0.639 0.750

=====

Record 12
Computed powder diffraction line list of TaPtW2 for copper Kα, from a crystal structure in Alexandria, relaxed with GGA-PBE.
Lines closer than 0.1° are merged.

The 10 most intense peaks (10 to 90 degrees two-theta), most intense first:
2.293 Å, 2θ 39.30, I = 100
2.204 Å, 2θ 40.94, I = 22
2.189 Å, 2θ 41.23, I = 22
1.283 Å, 2θ 73.86, I = 16
1.289 Å, 2θ 73.46, I = 16
1.553 Å, 2θ 59.51, I = 15
1.146 Å, 2θ 84.52, I = 11
1.699 Å, 2θ 53.98, I = 10
1.342 Å, 2θ 70.11, I = 9
1.346 Å, 2θ 69.91, I = 9

Atomic structure:
Lattice parameters (Å, degrees): 2.771 2.771 8.818 90.00 90.00 104.38
Sites, in units of the cell vectors:
Ta 0.000 0.000 0.000
Pt 0.500 0.500 0.248
W 0.000 0.000 0.491
W 0.500 0.500 0.741

=====

Record 13
Computed powder diffraction line list of Pm7SmHo4 for copper Kα, from a crystal structure in Alexandria, relaxed with GGA-PBE.
Lines closer than 0.1° are merged.

The 10 most intense peaks (10 to 90 degrees two-theta), most intense first:
2.990 Å, 2θ 29.88, I = 100
2.765 Å, 2θ 32.38, I = 74
2.696 Å, 2θ 33.23, I = 68
2.825 Å, 2θ 31.68, I = 55
2.882 Å, 2θ 31.03, I = 40
2.075 Å, 2θ 43.62, I = 32
3.052 Å, 2θ 29.26, I = 31
1.550 Å, 2θ 59.63, I = 29
2.754 Å, 2θ 32.51, I = 29
1.813 Å, 2θ 50.32, I = 25

Atomic structure:
Lattice parameters (Å, degrees): 8.603 8.603 9.415 114.79 114.79 40.68
Sites, in units of the cell vectors:
Pm 0.000 0.000 0.000
Pm 0.286 0.286 0.117
Pm 0.288 0.288 0.763
Pm 0.415 0.415 0.551
Pm 0.585 0.585 0.449
Pm 0.712 0.712 0.237
Pm 0.714 0.714 0.883
Sm 0.500 0.500 0.000
Ho 0.072 0.072 0.698
Ho 0.170 0.170 0.384
Ho 0.830 0.830 0.616
Ho 0.928 0.928 0.302